Calculated X-ray diffraction stick pattern
Compound: NaTmPuF6
Radiation: Cu Kα X-rays
Structure: a crystal structure in Alexandria, relaxed with GGA-PBE

Largest 12 diffraction maxima, low angle first, 5° ≤ 2θ ≤ 70°:
- 16.77 deg, I 19.3
- 19.36 deg, I 32.1
- 25.66 deg, I 100.0
- 29.26 deg, I 44.6
- 35.30 deg, I 9.8
- 39.30 deg, I 33.0
- 49.60 deg, I 35.7
- 49.74 deg, I 34.2
- 51.88 deg, I 18.5
- 63.07 deg, I 8.4
- 66.86 deg, I 7.7
- 66.98 deg, I 14.2

Structure:
Lattice parameters (Å, degrees): 6.1049 6.1049 9.2087 90.00 90.00 120.00
Atoms (fractional coordinates):
Na: 0.3333 0.6667 0.2500
Na: 0.6667 0.3333 0.7500
Tm: 0.3333 0.6667 0.7500
Tm: 0.6667 0.3333 0.2500
Pu: 0.0000 0.0000 0.0000
Pu: 0.0000 0.0000 0.5000
F: 0.0278 0.3685 0.6279
F: 0.0278 0.6593 0.8721
F: 0.3407 0.3685 0.8721
F: 0.3407 0.9722 0.6279
F: 0.3685 0.0278 0.1279
F: 0.3685 0.3407 0.3721
F: 0.6315 0.6593 0.6279
F: 0.6315 0.9722 0.8721
F: 0.6593 0.0278 0.3721
F: 0.6593 0.6315 0.1279
F: 0.9722 0.3407 0.1279
F: 0.9722 0.6315 0.3721

Calculated X-ray diffraction stick pattern
Compound: Nd2ErTm9
Radiation: Cu Kα X-rays
Structure: a crystal structure in Alexandria, relaxed with GGA-PBE

Largest 5 diffraction maxima, low angle first, 5° ≤ 2θ ≤ 70°:
- 31.10 deg, I 100.0
- 36.06 deg, I 50.6
- 51.92 deg, I 35.9
- 61.77 deg, I 42.6
- 64.85 deg, I 12.3

Structure:
Lattice parameters (Å, degrees): 4.9822 4.9822 14.9340 90.00 90.00 90.00
Atoms (fractional coordinates):
Nd: 0.0000 0.0000 0.1670
Nd: 0.0000 0.0000 0.8330
Er: 0.0000 0.0000 0.5000
Tm: 0.0000 0.5000 0.0000
Tm: 0.0000 0.5000 0.3359
Tm: 0.0000 0.5000 0.6641
Tm: 0.5000 0.0000 0.0000
Tm: 0.5000 0.0000 0.3359
Tm: 0.5000 0.0000 0.6641
Tm: 0.5000 0.5000 0.1683
Tm: 0.5000 0.5000 0.5000
Tm: 0.5000 0.5000 0.8317

Calculated X-ray diffraction stick pattern
Compound: K4TmPa3Se8
Radiation: Cu Kα X-rays
Structure: a crystal structure in Alexandria, relaxed with GGA-PBE

Largest 12 diffraction maxima, low angle first, 5° ≤ 2θ ≤ 70°:
- 11.28 deg, I 75.7
- 25.04 deg, I 21.3
- 25.90 deg, I 7.2
- 29.09 deg, I 100.0
- 36.59 deg, I 22.2
- 39.58 deg, I 38.3
- 43.57 deg, I 34.4
- 45.15 deg, I 16.7
- 49.60 deg, I 16.3
- 53.25 deg, I 18.2
- 60.31 deg, I 11.0
- 65.46 deg, I 13.9

Structure:
Lattice parameters (Å, degrees): 9.1933 9.1933 9.1933 53.73 53.73 53.73
Atoms (fractional coordinates):
K: 0.0000 0.0000 0.0000
K: 0.0000 0.5000 0.5000
K: 0.5000 0.0000 0.5000
K: 0.5000 0.5000 0.0000
Tm: 0.5000 0.5000 0.5000
Pa: 0.0000 0.0000 0.5000
Pa: 0.0000 0.5000 0.0000
Pa: 0.5000 0.0000 0.0000
Se: 0.2384 0.2384 0.2384
Se: 0.2419 0.7337 0.7337
Se: 0.2663 0.2663 0.7581
Se: 0.2663 0.7581 0.2663
Se: 0.7337 0.2419 0.7337
Se: 0.7337 0.7337 0.2419
Se: 0.7581 0.2663 0.2663
Se: 0.7616 0.7616 0.7616

Calculated X-ray diffraction stick pattern
Compound: Nd2TmGa
Radiation: Cu Kα X-rays
Structure: a crystal structure in Alexandria, relaxed with GGA-PBE

Largest 12 diffraction maxima, low angle first, 5° ≤ 2θ ≤ 70°:
- 29.23 deg, I 17.4
- 30.35 deg, I 69.8
- 31.01 deg, I 100.0
- 32.05 deg, I 52.5
- 33.22 deg, I 45.2
- 33.33 deg, I 64.8
- 36.14 deg, I 19.0
- 37.16 deg, I 23.4
- 49.48 deg, I 20.2
- 51.39 deg, I 23.3
- 56.84 deg, I 33.2
- 59.16 deg, I 21.1

Structure:
Lattice parameters (Å, degrees): 3.6843 9.9414 6.6790 90.00 106.00 90.00
Atoms (fractional coordinates):
Nd: 0.1344 0.0503 0.2682
Nd: 0.1344 0.4497 0.2682
Nd: 0.8656 0.5503 0.7318
Nd: 0.8656 0.9497 0.7318
Tm: 0.4422 0.2500 0.8853
Tm: 0.5578 0.7500 0.1147
Ga: 0.2402 0.7500 0.4798
Ga: 0.7598 0.2500 0.5202

Calculated X-ray diffraction stick pattern
Compound: NiPt
Radiation: Cu Kα X-rays
Structure: a crystal structure in Alexandria, relaxed with GGA-PBE

Largest 12 diffraction maxima, low angle first, 5° ≤ 2θ ≤ 70°:
- 11.00 deg, I 28.2
- 20.27 deg, I 15.9
- 22.10 deg, I 6.1
- 32.66 deg, I 20.2
- 39.40 deg, I 5.9
- 40.24 deg, I 11.7
- 41.22 deg, I 100.0
- 41.41 deg, I 94.4
- 47.82 deg, I 61.7
- 48.59 deg, I 31.1
- 64.86 deg, I 6.3
- 69.67 deg, I 10.4

Structure:
Lattice parameters (Å, degrees): 4.6187 4.6187 8.0435 90.00 90.00 108.47
Atoms (fractional coordinates):
Ni: 0.0000 0.0000 0.0000
Ni: 0.0000 0.0000 0.3084
Ni: 0.0000 0.0000 0.6495
Ni: 0.0000 0.5000 0.1566
Ni: 0.5000 0.0000 0.1566
Ni: 0.5000 0.5000 0.3172
Pt: 0.0000 0.5000 0.4713
Pt: 0.0000 0.5000 0.8288
Pt: 0.5000 0.0000 0.4713
Pt: 0.5000 0.0000 0.8288
Pt: 0.5000 0.5000 0.0083
Pt: 0.5000 0.5000 0.6503

Calculated X-ray diffraction stick pattern
Compound: Dy7YEr2
Radiation: Cu Kα X-rays
Structure: a crystal structure in Alexandria, relaxed with GGA-PBE

Largest 12 diffraction maxima, low angle first, 5° ≤ 2θ ≤ 70°:
- 10.45 deg, I 0.7
- 15.85 deg, I 0.5
- 30.96 deg, I 100.0
- 35.87 deg, I 33.8
- 35.96 deg, I 16.7
- 51.66 deg, I 29.9
- 51.77 deg, I 6.0
- 61.41 deg, I 21.4
- 61.50 deg, I 14.2
- 61.59 deg, I 7.0
- 64.48 deg, I 6.2
- 64.57 deg, I 6.1

Structure:
Lattice parameters (Å, degrees): 6.1187 6.1306 9.3613 102.60 108.97 99.70
Atoms (fractional coordinates):
Dy: 0.0000 0.0000 0.0000
Dy: 0.2003 0.5007 0.9007
Dy: 0.2006 0.0000 0.3993
Dy: 0.4004 0.5001 0.2993
Dy: 0.5996 0.4999 0.7007
Dy: 0.7994 0.0000 0.6007
Dy: 0.7997 0.4993 0.0993
Y: 0.0000 0.5000 0.5000
Er: 0.4002 0.0011 0.8005
Er: 0.5998 0.9989 0.1995

Calculated X-ray diffraction stick pattern
Compound: Pm10Tl3Pb3
Radiation: Cu Kα X-rays
Structure: a crystal structure in Alexandria, relaxed with GGA-PBE

Largest 12 diffraction maxima, low angle first, 5° ≤ 2θ ≤ 70°:
- 25.75 deg, I 14.8
- 29.43 deg, I 13.9
- 32.24 deg, I 100.0
- 33.48 deg, I 20.1
- 34.21 deg, I 7.9
- 41.07 deg, I 6.3
- 42.65 deg, I 12.3
- 47.20 deg, I 7.5
- 49.64 deg, I 17.8
- 52.92 deg, I 6.6
- 63.91 deg, I 13.1
- 64.09 deg, I 6.3

Structure:
Lattice parameters (Å, degrees): 9.2716 9.2716 6.9203 90.00 90.00 120.00
Atoms (fractional coordinates):
Pm: 0.0000 0.2386 0.0000
Pm: 0.0000 0.7642 0.5000
Pm: 0.2358 0.2358 0.5000
Pm: 0.2386 0.0000 0.0000
Pm: 0.3333 0.6667 0.2535
Pm: 0.3333 0.6667 0.7465
Pm: 0.6667 0.3333 0.2535
Pm: 0.6667 0.3333 0.7465
Pm: 0.7614 0.7614 0.0000
Pm: 0.7642 0.0000 0.5000
Tl: 0.0000 0.4003 0.5000
Tl: 0.4003 0.0000 0.5000
Tl: 0.5997 0.5997 0.5000
Pb: 0.0000 0.6031 0.0000
Pb: 0.3969 0.3969 0.0000
Pb: 0.6031 0.0000 0.0000

Calculated X-ray diffraction stick pattern
Compound: La2NpSe4
Radiation: Cu Kα X-rays
Structure: a crystal structure in Alexandria, relaxed with GGA-PBE

Largest 12 diffraction maxima, low angle first, 5° ≤ 2θ ≤ 70°:
- 13.93 deg, I 25.0
- 22.69 deg, I 100.0
- 28.28 deg, I 30.6
- 29.29 deg, I 75.2
- 31.34 deg, I 93.3
- 38.54 deg, I 22.2
- 39.19 deg, I 50.7
- 40.50 deg, I 37.6
- 42.68 deg, I 40.9
- 43.67 deg, I 31.7
- 49.76 deg, I 25.1
- 62.71 deg, I 26.2

Structure:
Lattice parameters (Å, degrees): 7.4178 7.4178 14.0801 90.00 90.00 147.55
Atoms (fractional coordinates):
La: 0.1323 0.8677 0.5717
La: 0.1323 0.8677 0.9283
La: 0.8677 0.1323 0.0717
La: 0.8677 0.1323 0.4283
Np: 0.3759 0.6241 0.7500
Np: 0.6241 0.3759 0.2500
Se: 0.0212 0.9788 0.7500
Se: 0.2226 0.7774 0.1266
Se: 0.2226 0.7774 0.3734
Se: 0.5000 0.5000 0.0000
Se: 0.5000 0.5000 0.5000
Se: 0.7774 0.2226 0.6266
Se: 0.7774 0.2226 0.8734
Se: 0.9788 0.0212 0.2500

Calculated X-ray diffraction stick pattern
Compound: Ac5Zn5Cu2
Radiation: Cu Kα X-rays
Structure: a crystal structure in Alexandria, relaxed with GGA-PBE

Largest 12 diffraction maxima, low angle first, 5° ≤ 2θ ≤ 70°:
- 21.47 deg, I 33.9
- 23.29 deg, I 41.1
- 26.20 deg, I 40.9
- 29.79 deg, I 100.0
- 31.68 deg, I 54.9
- 32.60 deg, I 82.6
- 33.37 deg, I 48.7
- 36.77 deg, I 72.8
- 41.07 deg, I 41.8
- 52.78 deg, I 27.0
- 53.91 deg, I 25.2
- 59.42 deg, I 25.2

Structure:
Lattice parameters (Å, degrees): 4.3954 8.7187 9.2561 86.60 76.27 75.46
Atoms (fractional coordinates):
Ac: 0.0000 0.0000 0.0000
Ac: 0.1070 0.2002 0.5854
Ac: 0.1926 0.4218 0.1907
Ac: 0.8074 0.5782 0.8093
Ac: 0.8930 0.7998 0.4146
Zn: 0.2514 0.8226 0.6769
Zn: 0.4408 0.2667 0.8496
Zn: 0.5000 0.5000 0.5000
Zn: 0.5592 0.7333 0.1504
Zn: 0.7486 0.1774 0.3231
Cu: 0.3517 0.0335 0.2599
Cu: 0.6483 0.9665 0.7401

Calculated X-ray diffraction stick pattern
Compound: RbZr
Radiation: Cu Kα X-rays
Structure: a crystal structure in Alexandria, relaxed with GGA-PBE

Largest 12 diffraction maxima, low angle first, 5° ≤ 2θ ≤ 70°:
- 6.64 deg, I 63.9
- 20.01 deg, I 35.0
- 26.77 deg, I 12.1
- 29.21 deg, I 100.0
- 32.92 deg, I 25.1
- 33.67 deg, I 9.9
- 36.93 deg, I 40.3
- 42.36 deg, I 19.3
- 42.93 deg, I 24.1
- 43.03 deg, I 8.2
- 53.22 deg, I 13.7
- 61.87 deg, I 26.3

Structure:
Lattice parameters (Å, degrees): 3.4417 3.4423 13.3091 90.00 90.21 90.00
Atoms (fractional coordinates):
Rb: 0.2453 0.2500 0.1711
Rb: 0.7547 0.7500 0.8289
Zr: 0.2510 0.2500 0.5713
Zr: 0.7490 0.7500 0.4287

Calculated X-ray diffraction stick pattern
Compound: PmYMgRu
Radiation: Cu Kα X-rays
Structure: a crystal structure in Alexandria, relaxed with GGA-PBE

Largest 12 diffraction maxima, low angle first, 5° ≤ 2θ ≤ 70°:
- 10.84 deg, I 75.2
- 25.49 deg, I 11.0
- 33.77 deg, I 100.0
- 36.35 deg, I 49.8
- 38.05 deg, I 14.9
- 42.10 deg, I 31.8
- 44.41 deg, I 6.0
- 52.36 deg, I 17.2
- 58.69 deg, I 10.4
- 63.77 deg, I 30.8
- 68.96 deg, I 10.7
- 69.34 deg, I 14.2

Structure:
Lattice parameters (Å, degrees): 3.4949 3.4949 8.1595 90.00 90.00 90.00
Atoms (fractional coordinates):
Pm: 0.0000 0.0000 0.0000
Y: 0.0000 0.0000 0.5888
Mg: 0.5000 0.5000 0.3015
Ru: 0.5000 0.5000 0.7890

Calculated X-ray diffraction stick pattern
Compound: ZrSO7
Radiation: Cu Kα X-rays
Structure: a crystal structure in Alexandria, relaxed with GGA-PBE

Largest 12 diffraction maxima, low angle first, 5° ≤ 2θ ≤ 70°:
- 16.49 deg, I 100.0
- 17.30 deg, I 19.1
- 18.40 deg, I 31.7
- 19.94 deg, I 17.8
- 21.80 deg, I 23.0
- 23.33 deg, I 13.3
- 27.07 deg, I 42.2
- 29.90 deg, I 13.4
- 33.32 deg, I 31.9
- 36.30 deg, I 13.1
- 40.19 deg, I 9.4
- 40.40 deg, I 9.6

Structure:
Lattice parameters (Å, degrees): 5.2600 5.2600 10.8427 94.76 94.76 101.65
Atoms (fractional coordinates):
Zr: 0.0968 0.9032 0.7500
Zr: 0.9032 0.0968 0.2500
S: 0.4643 0.5357 0.7500
S: 0.5357 0.4643 0.2500
O: 0.0018 0.9005 0.5283
O: 0.0995 0.9982 0.9717
O: 0.1270 0.8730 0.2500
O: 0.2456 0.3992 0.2499
O: 0.3310 0.6206 0.6390
O: 0.3794 0.6690 0.8610
O: 0.3992 0.2456 0.7499
O: 0.6008 0.7544 0.2501
O: 0.6206 0.3310 0.1390
O: 0.6690 0.3794 0.3610
O: 0.7544 0.6008 0.7501
O: 0.8730 0.1270 0.7500
O: 0.9005 0.0018 0.0283
O: 0.9982 0.0995 0.4717

Calculated X-ray diffraction stick pattern
Compound: Na2Nd2I2Br5
Radiation: Cu Kα X-rays
Structure: a crystal structure in Alexandria, relaxed with GGA-PBE

Largest 12 diffraction maxima, low angle first, 5° ≤ 2θ ≤ 70°:
- 13.16 deg, I 37.0
- 15.45 deg, I 100.0
- 21.41 deg, I 25.6
- 25.21 deg, I 25.7
- 30.46 deg, I 91.3
- 33.30 deg, I 28.6
- 33.64 deg, I 62.1
- 34.33 deg, I 28.3
- 40.81 deg, I 24.5
- 43.62 deg, I 33.5
- 45.75 deg, I 27.4
- 46.01 deg, I 51.5

Structure:
Lattice parameters (Å, degrees): 14.0800 14.0800 14.0800 155.94 155.94 34.28
Atoms (fractional coordinates):
Na: 0.1639 0.1639 0.0000
Na: 0.8361 0.8361 0.0000
Nd: 0.3918 0.3918 0.0000
Nd: 0.6082 0.6082 0.0000
I: 0.2785 0.2785 0.0000
I: 0.7215 0.7215 0.0000
Br: 0.1117 0.6117 0.5000
Br: 0.3883 0.8883 0.5000
Br: 0.5000 0.5000 0.0000
Br: 0.6117 0.1117 0.5000
Br: 0.8883 0.3883 0.5000